InIr2Se: calculated powder XRD pattern (CuKα), based on the GGA-PBE geometry in Alexandria.
Intensities are scaled so that the largest is 100.

Main lines, sorted by position (2θ from 10° to 80°):
2θ 18.46, I 35.3, hkl 0 0 1; 2θ 37.44, I 55.2, hkl 4 0 0; 2θ 37.72, I 100.0, hkl 1 1 1; 2θ 37.90, I 50.8, hkl 2 0 -2; 2θ 42.74, I 79.0, hkl 3 1 -1; 2θ 45.88, I 27.7, hkl 2 0 2; 2θ 64.18, I 15.7, hkl 5 1 1; 2θ 64.80, I 14.8, hkl 1 1 -3; 2θ 74.82, I 14.6, hkl 4 2 0; 2θ 75.13, I 26.5, hkl 2 2 -2

Structure:
```
data_InIr2Se
_space_group_name_H-M_alt 'C 1 m 1'
_space_group_IT_number 8
_space_group_name_Hall 'C -2y'
_cell_length_a 9.8619
_cell_length_b 2.9890
_cell_length_c 4.9334
_cell_angle_alpha 90.00
_cell_angle_beta 103.04
_cell_angle_gamma 90.00
loop_
_atom_site_label
_atom_site_fract_x
_atom_site_fract_y
_atom_site_fract_z
In1 0.0000 0.0000 0.0000
Ir1 0.0047 0.5000 0.5014
Ir2 0.2612 0.5000 0.2475
Se1 0.2183 0.0000 0.6240
```



BaMg2Pb10: calculated powder XRD pattern (CuKα), based on the GGA-PBE geometry in Alexandria.
Intensities are scaled so that the largest is 100.

Main lines, sorted by position (2θ from 10° to 80°):
2θ 11.25, I 34.9, hkl 0 2 0; 2θ 27.29, I 46.6, hkl 1 3 3; 2θ 27.97, I 35.6, hkl 2 0 0; 2θ 30.92, I 69.1, hkl 1 1 5; 2θ 31.35, I 56.5, hkl 0 4 4; 2θ 32.16, I 100.0, hkl 1 5 1; 2θ 34.96, I 34.3, hkl 1 3 5; 2θ 35.51, I 34.8, hkl 2 0 4; 2θ 36.26, I 41.5, hkl 2 4 0; 2θ 54.71, I 30.2, hkl 1 3 9

Structure:
```
data_BaMg2Pb10
_space_group_name_H-M_alt 'F m m m'
_space_group_IT_number 69
_space_group_name_Hall '-F 2 2'
_cell_length_a 6.3796
_cell_length_b 15.7342
_cell_length_c 16.5825
_cell_angle_alpha 90.00
_cell_angle_beta 90.00
_cell_angle_gamma 90.00
loop_
_atom_site_label
_atom_site_fract_x
_atom_site_fract_y
_atom_site_fract_z
Ba1 0.0000 0.0000 0.0000
Mg1 0.2500 0.0000 0.2500
Pb1 0.0000 0.1057 0.3846
Pb2 0.0000 0.1706 0.1819
Pb3 0.2500 0.2500 0.0000
```



BaZnCd2O4: calculated powder XRD pattern (CuKα), based on the GGA-PBE geometry in Alexandria.
Intensities are scaled so that the largest is 100.

Main lines, sorted by position (2θ from 10° to 80°):
2θ 30.78, I 40.1, hkl 2 0 0; 2θ 31.73, I 100.0, hkl 1 1 2; 2θ 44.08, I 23.6, hkl 2 2 0; 2θ 55.33, I 39.7, hkl 3 1 2; 2θ 57.12, I 21.2, hkl 2 0 4; 2θ 64.11, I 6.8, hkl 4 0 0; 2θ 66.30, I 9.5, hkl 2 2 4; 2θ 72.79, I 7.8, hkl 4 2 0; 2θ 73.31, I 8.0, hkl 3 3 2; 2θ 77.42, I 7.3, hkl 1 1 6

Structure:
```
data_BaZnCd2O4
_space_group_name_H-M_alt 'I -4 2 m'
_space_group_IT_number 121
_space_group_name_Hall 'I -4 2'
_cell_length_a 5.8102
_cell_length_b 5.8102
_cell_length_c 7.7538
_cell_angle_alpha 90.00
_cell_angle_beta 90.00
_cell_angle_gamma 90.00
loop_
_atom_site_label
_atom_site_fract_x
_atom_site_fract_y
_atom_site_fract_z
Ba1 0.0000 0.0000 0.0000
Zn1 0.0000 0.0000 0.5000
Cd1 0.0000 0.5000 0.2500
O1 0.2043 0.2043 0.6421
```



Tm4Ga16Pd3: calculated powder XRD pattern (CuKα), based on the GGA-PBE geometry in Alexandria.
Intensities are scaled so that the largest is 100.

Main lines, sorted by position (2θ from 10° to 80°):
2θ 20.25, I 21.8, hkl 1 1 0; 2θ 29.94, I 9.7, hkl 2 0 1; 2θ 31.83, I 40.5, hkl 1 1 3; 2θ 33.17, I 26.9, hkl 2 0 2; 2θ 38.02, I 100.0, hkl 2 0 3; 2θ 41.15, I 89.1, hkl 2 2 0; 2θ 44.04, I 20.0, hkl 2 0 4; 2θ 52.96, I 16.2, hkl 3 1 3; 2θ 59.59, I 42.8, hkl 4 0 0; 2θ 72.93, I 24.5, hkl 4 2 3

Structure:
```
data_Tm4Ga16Pd3
_space_group_name_H-M_alt 'P 4/m m m'
_space_group_IT_number 123
_space_group_name_Hall '-P 4 2'
_cell_length_a 6.2026
_cell_length_b 6.2026
_cell_length_c 10.9875
_cell_angle_alpha 90.00
_cell_angle_beta 90.00
_cell_angle_gamma 90.00
loop_
_atom_site_label
_atom_site_fract_x
_atom_site_fract_y
_atom_site_fract_z
Tm1 0.0000 0.5000 0.1896
Ga1 0.0000 0.0000 0.2009
Ga2 0.2109 0.2109 0.0000
Ga3 0.2441 0.2441 0.3739
Ga4 0.5000 0.5000 0.2316
Pd1 0.0000 0.5000 0.5000
Pd2 0.5000 0.5000 0.0000
```



Zr12Ga6Sb: calculated powder XRD pattern (CuKα), based on the GGA-PBE geometry in Alexandria.
Intensities are scaled so that the largest is 100.

Main lines, sorted by position (2θ from 10° to 80°):
2θ 33.45, I 35.3, hkl 2 2 2; 2θ 36.22, I 100.0, hkl 3 2 1; 2θ 38.81, I 22.0, hkl 4 0 0; 2θ 41.27, I 19.5, hkl 3 3 0; 2θ 43.61, I 10.7, hkl 4 0 2; 2θ 50.12, I 13.5, hkl 5 1 0; 2θ 57.94, I 14.2, hkl 5 0 3; 2θ 59.79, I 10.8, hkl 6 0 0; 2θ 61.60, I 20.1, hkl 5 3 2; 2θ 71.94, I 12.9, hkl 5 4 3

Structure:
```
data_Zr12Ga6Sb
_space_group_name_H-M_alt 'I m -3'
_space_group_IT_number 204
_space_group_name_Hall '-I 2 2 3'
_cell_length_a 9.2807
_cell_length_b 9.2807
_cell_length_c 9.2807
_cell_angle_alpha 90.00
_cell_angle_beta 90.00
_cell_angle_gamma 90.00
loop_
_atom_site_label
_atom_site_fract_x
_atom_site_fract_y
_atom_site_fract_z
Zr1 0.0000 0.1824 0.2777
Ga1 0.0000 0.3696 0.5000
Sb1 0.0000 0.0000 0.0000
```



Ti7Sb2TeH2: calculated powder XRD pattern (CuKα), based on the GGA-PBE geometry in Alexandria.
Intensities are scaled so that the largest is 100.

Main lines, sorted by position (2θ from 10° to 80°):
2θ 22.26, I 24.3, hkl 1 0 1; 2θ 29.57, I 22.5, hkl 1 0 5; 2θ 31.17, I 28.0, hkl 1 1 0; 2θ 35.07, I 32.4, hkl 1 1 4; 2θ 39.46, I 100.0, hkl 1 1 6; 2θ 39.84, I 20.1, hkl 0 0 10; 2θ 44.66, I 47.8, hkl 2 0 0; 2θ 61.37, I 20.7, hkl 2 0 10; 2θ 74.85, I 16.0, hkl 1 1 16; 2θ 78.78, I 24.0, hkl 3 1 6

Structure:
```
data_Ti7Sb2TeH2
_space_group_name_H-M_alt 'I 4/m m m'
_space_group_IT_number 139
_space_group_name_Hall '-I 4 2'
_cell_length_a 4.0578
_cell_length_b 4.0578
_cell_length_c 22.6292
_cell_angle_alpha 90.00
_cell_angle_beta 90.00
_cell_angle_gamma 90.00
loop_
_atom_site_label
_atom_site_fract_x
_atom_site_fract_y
_atom_site_fract_z
Ti1 0.0000 0.0000 0.0000
Ti2 0.0000 0.0000 0.1944
Ti3 0.0000 0.5000 0.0929
Sb1 0.0000 0.0000 0.3177
Te1 0.0000 0.0000 0.5000
H1 0.0000 0.0000 0.0918
```